1.
Diffraction record for HfZr2NiAs4Pd3. The X-ray powder pattern is theoretical, not measured: it uses DFT lattice parameters and positions (GGA-PBE) and Cu Kα.
Lines closer than 0.1° are merged.

Structure:
```
data_HfZr2NiAs4Pd3
_symmetry_space_group_name_H-M 'P 1 m 1'
_symmetry_Int_Tables_number 6
_cell_length_a 6.628
_cell_length_b 3.910
_cell_length_c 7.595
_cell_angle_alpha 90.00
_cell_angle_beta 90.36
_cell_angle_gamma 90.00
loop_
_symmetry_equiv_pos_as_xyz
'x,y,z'
'x,-y,z'
loop_
_atom_site_label
_atom_site_fract_x
_atom_site_fract_y
_atom_site_fract_z
_atom_site_occupancy
Hf1 0.000 0.000 0.000 1
Zr1 0.489 0.000 0.862 1
Zr2 0.927 0.500 0.379 1
Ni1 0.084 0.000 0.632 1
As1 0.209 0.000 0.329 1
As2 0.217 0.500 0.779 1
As3 0.692 0.000 0.563 1
As4 0.709 0.500 0.061 1
Pd1 0.297 0.500 0.122 1
Pd2 0.596 0.000 0.247 1
Pd3 0.829 0.500 0.748 1
```

The 10 most intense peaks (2θ = 5–70°), in order of rising 2θ:
2θ (°), intensity, hkl
11.65, 61, 0 0 1
13.36, 31, 1 0 0
29.02, 36, 1 1 1
35.51, 100, 2 1 0
35.69, 74, 1 1 2
37.44, 78, 2 1 -1
37.55, 59, 2 1 1
42.54, 85, 0 1 3
44.72, 34, 1 1 -3
46.45, 70, 0 2 0

=====

2.
Diffraction record for Hf2ZrNi2As4Pd2. The X-ray powder pattern is theoretical, not measured: it uses DFT lattice parameters and positions (GGA-PBE) and Cu Kα.
Lines closer than 0.1° are merged.

Structure:
```
data_Hf2ZrNi2As4Pd2
_symmetry_space_group_name_H-M 'P 1 m 1'
_symmetry_Int_Tables_number 6
_cell_length_a 6.493
_cell_length_b 3.883
_cell_length_c 7.539
_cell_angle_alpha 90.00
_cell_angle_beta 90.06
_cell_angle_gamma 90.00
loop_
_symmetry_equiv_pos_as_xyz
'x,y,z'
'x,-y,z'
loop_
_atom_site_label
_atom_site_fract_x
_atom_site_fract_y
_atom_site_fract_z
_atom_site_occupancy
Hf1 0.000 0.000 0.000 1
Hf2 0.498 0.000 0.140 1
Zr1 0.572 0.500 0.511 1
Ni1 0.681 0.500 0.887 1
Ni2 0.885 0.000 0.376 1
As1 0.269 0.000 0.459 1
As2 0.282 0.500 0.940 1
As3 0.787 0.500 0.196 1
As4 0.816 0.000 0.691 1
Pd1 0.177 0.500 0.268 1
Pd2 0.419 0.000 0.766 1
```

The 10 most intense peaks (2θ = 5–70°), in order of rising 2θ:
2θ (°), intensity, hkl
11.74, 43, 0 0 1
36.01, 100, 2 1 0
38.05, 75, 2 1 -1
38.41, 28, 1 0 3
42.87, 29, 0 1 3
43.52, 17, 3 0 -1
45.19, 34, 1 1 3
46.80, 34, 0 2 0
62.08, 14, 1 2 3
69.69, 15, 3 2 2

=====

3.
Diffraction record for Hf2ZrNi3As4Pd. The X-ray powder pattern is theoretical, not measured: it uses DFT lattice parameters and positions (GGA-PBE) and Cu Kα.
Lines closer than 0.1° are merged.

Structure:
```
data_Hf2ZrNi3As4Pd
_symmetry_space_group_name_H-M 'P 1 m 1'
_symmetry_Int_Tables_number 6
_cell_length_a 6.449
_cell_length_b 3.834
_cell_length_c 7.468
_cell_angle_alpha 90.00
_cell_angle_beta 90.82
_cell_angle_gamma 90.00
loop_
_symmetry_equiv_pos_as_xyz
'x,y,z'
'x,-y,z'
loop_
_atom_site_label
_atom_site_fract_x
_atom_site_fract_y
_atom_site_fract_z
_atom_site_occupancy
Hf1 0.000 0.000 0.000 1
Hf2 0.438 0.500 0.497 1
Zr1 0.937 0.500 0.629 1
Ni1 0.115 0.000 0.373 1
Ni2 0.321 0.500 0.873 1
Ni3 0.612 0.000 0.757 1
As1 0.235 0.000 0.693 1
As2 0.247 0.500 0.185 1
As3 0.695 0.500 0.931 1
As4 0.717 0.000 0.440 1
Pd1 0.843 0.500 0.246 1
```

The 10 most intense peaks (2θ = 5–70°), in order of rising 2θ:
2θ (°), intensity, hkl
18.05, 29, 1 0 -1
18.31, 37, 1 0 1
27.06, 25, 1 1 0
36.23, 56, 1 1 -2
36.46, 100, 1 1 2
37.10, 23, 2 0 2
38.29, 88, 2 1 -1
38.56, 80, 1 0 -3
43.34, 63, 0 1 3
47.43, 56, 0 2 0

=====

4.
Diffraction record for Hf2ZrNi3As4Pd. The X-ray powder pattern is theoretical, not measured: it uses DFT lattice parameters and positions (GGA-PBE) and Cu Kα.
Lines closer than 0.1° are merged.

Structure:
```
data_Hf2ZrNi3As4Pd
_symmetry_space_group_name_H-M 'P 1 m 1'
_symmetry_Int_Tables_number 6
_cell_length_a 6.440
_cell_length_b 3.840
_cell_length_c 7.459
_cell_angle_alpha 90.00
_cell_angle_beta 90.84
_cell_angle_gamma 90.00
loop_
_symmetry_equiv_pos_as_xyz
'x,y,z'
'x,-y,z'
loop_
_atom_site_label
_atom_site_fract_x
_atom_site_fract_y
_atom_site_fract_z
_atom_site_occupancy
Hf1 0.000 0.000 0.000 1
Hf2 0.061 0.500 0.369 1
Zr1 0.500 0.000 0.866 1
Ni1 0.172 0.500 0.745 1
Ni2 0.380 0.000 0.242 1
Ni3 0.679 0.500 0.127 1
As1 0.295 0.500 0.063 1
As2 0.307 0.000 0.553 1
As3 0.757 0.000 0.301 1
As4 0.784 0.500 0.811 1
Pd1 0.906 0.000 0.617 1
```

The 10 most intense peaks (2θ = 5–70°), in order of rising 2θ:
2θ (°), intensity, hkl
13.75, 84, 1 0 0
29.70, 30, 1 1 1
36.22, 64, 1 1 -2
36.46, 100, 1 1 2
37.16, 28, 2 0 2
38.30, 88, 2 1 -1
38.59, 95, 2 1 1
43.36, 61, 0 1 3
45.84, 51, 2 0 -3
47.35, 62, 0 2 0

=====

5.
Diffraction record for Hf2ZrNi3As4Pd. The X-ray powder pattern is theoretical, not measured: it uses DFT lattice parameters and positions (GGA-PBE) and Cu Kα.
Lines closer than 0.1° are merged.

Structure:
```
data_Hf2ZrNi3As4Pd
_symmetry_space_group_name_H-M 'P 1 m 1'
_symmetry_Int_Tables_number 6
_cell_length_a 6.527
_cell_length_b 3.838
_cell_length_c 7.397
_cell_angle_alpha 90.00
_cell_angle_beta 90.10
_cell_angle_gamma 90.00
loop_
_symmetry_equiv_pos_as_xyz
'x,y,z'
'x,-y,z'
loop_
_atom_site_label
_atom_site_fract_x
_atom_site_fract_y
_atom_site_fract_z
_atom_site_occupancy
Hf1 0.000 0.000 0.000 1
Hf2 0.486 0.000 0.873 1
Zr1 0.935 0.500 0.380 1
Ni1 0.088 0.000 0.633 1
Ni2 0.302 0.500 0.126 1
Ni3 0.839 0.500 0.750 1
As1 0.213 0.500 0.792 1
As2 0.223 0.000 0.320 1
As3 0.706 0.500 0.053 1
As4 0.709 0.000 0.582 1
Pd1 0.603 0.000 0.257 1
```

The 10 most intense peaks (2θ = 5–70°), in order of rising 2θ:
2θ (°), intensity, hkl
11.97, 52, 0 0 1
23.17, 21, 0 1 0
36.13, 40, 2 1 0
36.44, 70, 1 1 2
38.18, 100, 2 1 -1
39.05, 29, 1 0 -3
43.63, 43, 0 1 3
45.90, 29, 1 1 -3
47.37, 40, 0 2 0
48.55, 23, 3 0 -2

=====

6.
Diffraction record for HfZr2Ni3As4Pd. The X-ray powder pattern is theoretical, not measured: it uses DFT lattice parameters and positions (GGA-PBE) and Cu Kα.
Lines closer than 0.1° are merged.

Structure:
```
data_HfZr2Ni3As4Pd
_symmetry_space_group_name_H-M 'P 1 m 1'
_symmetry_Int_Tables_number 6
_cell_length_a 6.487
_cell_length_b 3.841
_cell_length_c 7.418
_cell_angle_alpha 90.00
_cell_angle_beta 90.59
_cell_angle_gamma 90.00
loop_
_symmetry_equiv_pos_as_xyz
'x,y,z'
'x,-y,z'
loop_
_atom_site_label
_atom_site_fract_x
_atom_site_fract_y
_atom_site_fract_z
_atom_site_occupancy
Hf1 0.000 0.000 0.000 1
Zr1 0.491 0.000 0.137 1
Zr2 0.551 0.500 0.509 1
Ni1 0.174 0.500 0.260 1
Ni2 0.397 0.000 0.758 1
Ni3 0.890 0.000 0.374 1
As1 0.253 0.000 0.451 1
As2 0.270 0.500 0.923 1
As3 0.797 0.500 0.208 1
As4 0.809 0.000 0.682 1
Pd1 0.668 0.500 0.880 1
```

The 10 most intense peaks (2θ = 5–70°), in order of rising 2θ:
2θ (°), intensity, hkl
11.93, 48, 0 0 1
26.98, 27, 1 1 0
36.28, 100, 2 1 0
36.51, 47, 1 1 2
38.20, 90, 2 1 -1
38.39, 49, 2 1 1
38.84, 26, 1 0 -3
43.52, 83, 0 1 3
45.94, 33, 1 1 3
47.33, 59, 0 2 0